1.
Simulated powder XRD pattern
Compound: Rb3Pr
Radiation: Cu Kα
Structure: the GGA-PBE geometry in the Materials Project
Neutral-atom scattering factors, no anomalous dispersion.

Principal peaks in the range 2θ = 10–90°, low angle first:
| d [Å] | 2θ/deg | Rel. int. | (hkl) |
| --- | --- | --- | --- |
| 5.959 | 14.87 | 4 | 1 1 1 |
| 3.649 | 24.39 | 100 | 2 2 0 |
| 3.112 | 28.69 | 2 | 3 1 1 |
| 2.580 | 34.77 | 20 | 4 0 0 |
| 2.107 | 42.93 | 43 | 4 2 2 |
| 1.825 | 49.99 | 14 | 4 4 0 |
| 1.632 | 56.38 | 19 | 6 2 0 |
| 1.490 | 62.33 | 5 | 4 4 4 |
| 1.379 | 67.97 | 22 | 6 4 2 |
| 1.216 | 78.66 | 11 | 8 2 2 |
| 1.154 | 83.84 | 6 | 8 4 0 |
| 1.100 | 88.97 | 6 | 6 6 4 |

Atomic structure:
```
data_Rb3Pr
_chemical_formula_sum 'Rb12 Pr4'
_symmetry_space_group_name_H-M 'F m -3 m'
_symmetry_Int_Tables_number 225
_symmetry_space_group_name_Hall '-F 4 2 3'
_cell_length_a 10.321
_cell_length_b 10.321
_cell_length_c 10.321
_cell_angle_alpha 90.00
_cell_angle_beta 90.00
_cell_angle_gamma 90.00
loop_
_atom_site_label
_atom_site_type_symbol
_atom_site_fract_x
_atom_site_fract_y
_atom_site_fract_z
Rb1 Rb 0.000 0.000 0.000
Rb2 Rb 0.250 0.250 0.250
Pr1 Pr 0.000 0.000 0.500
```

=====

2.
Simulated powder XRD pattern
Compound: Na3Pt
Radiation: Cu Kα
Structure: the GGA-PBE geometry in the Materials Project
Neutral-atom scattering factors, no anomalous dispersion.

Principal peaks in the range 2θ = 10–90°, low angle first:
| d [Å] | 2θ/deg | Rel. int. | (hkl) |
| --- | --- | --- | --- |
| 4.066 | 21.86 | 100 | 1 0 1 |
| 3.838 | 23.18 | 22 | 0 0 2 |
| 3.390 | 26.29 | 32 | 1 1 0 |
| 2.541 | 35.33 | 76 | 1 1 2 |
| 2.397 | 37.53 | 32 | 2 0 0 |
| 2.257 | 39.94 | 22 | 1 0 3 |
| 2.065 | 43.85 | 34 | 2 1 1 |
| 2.033 | 44.57 | 16 | 2 0 2 |
| 1.695 | 54.12 | 11 | 2 2 0 |
| 1.643 | 55.96 | 17 | 2 1 3 |
| 1.498 | 61.95 | 15 | 2 0 4 |
| 1.410 | 66.30 | 24 | 3 1 2 |

Atomic structure:
```
data_Na3Pt
_chemical_formula_sum 'Na6 Pt2'
_symmetry_space_group_name_H-M 'I 4/m m m'
_symmetry_Int_Tables_number 139
_symmetry_space_group_name_Hall '-I 4 2'
_cell_length_a 4.793
_cell_length_b 4.793
_cell_length_c 7.676
_cell_angle_alpha 90.00
_cell_angle_beta 90.00
_cell_angle_gamma 90.00
loop_
_atom_site_label
_atom_site_type_symbol
_atom_site_fract_x
_atom_site_fract_y
_atom_site_fract_z
Na1 Na 0.000 0.000 0.000
Na2 Na 0.000 0.500 0.250
Pt1 Pt 0.000 0.000 0.500
```

=====

3.
Simulated powder XRD pattern
Compound: Mn4CdS5
Radiation: Cu Kα
Structure: the GGA-PBE geometry in the Materials Project
Neutral-atom scattering factors, no anomalous dispersion.

Principal peaks in the range 2θ = 10–90°, low angle first:
| d [Å] | 2θ/deg | Rel. int. | (hkl) |
| --- | --- | --- | --- |
| 5.908 | 15.00 | 5 | 1 1 0 |
| 4.466 | 19.88 | 6 | 1 0 1 |
| 4.178 | 21.27 | 3 | 2 0 0 |
| 3.051 | 29.27 | 26 | 1 2 1 |
| 2.642 | 33.93 | 100 | 0 0 2 |
| 2.122 | 42.60 | 2 | 2 3 1 |
| 1.868 | 48.74 | 66 | 3 1 2 |
| 1.593 | 57.87 | 11 | 5 0 1 |
| 1.525 | 60.71 | 21 | 2 4 2 |
| 1.321 | 71.40 | 10 | 0 0 4 |
| 1.212 | 78.97 | 4 | 3 6 1 |
| 1.182 | 81.45 | 27 | 3 1 4 |

Atomic structure:
```
data_Mn4CdS5
_chemical_formula_sum 'Mn8 Cd2 S10'
_symmetry_space_group_name_H-M 'I 4/m'
_symmetry_Int_Tables_number 87
_symmetry_space_group_name_Hall '-I 4'
_cell_length_a 8.355
_cell_length_b 8.355
_cell_length_c 5.284
_cell_angle_alpha 90.00
_cell_angle_beta 90.00
_cell_angle_gamma 90.00
loop_
_atom_site_label
_atom_site_type_symbol
_atom_site_fract_x
_atom_site_fract_y
_atom_site_fract_z
Mn1 Mn 0.102 0.700 0.000
Cd1 Cd 0.000 0.000 0.500
S1 S 0.000 0.000 0.000
S2 S 0.105 0.691 0.500
```

=====

4.
Simulated powder XRD pattern
Compound: KCa2P4O18
Radiation: Cu Kα
Structure: the GGA-PBE geometry in the Materials Project
Neutral-atom scattering factors, no anomalous dispersion.

Principal peaks in the range 2θ = 10–90°, low angle first:
| d [Å] | 2θ/deg | Rel. int. | (hkl) |
| --- | --- | --- | --- |
| 4.593 | 19.32 | 17 | 0 1 2 |
| 4.207 | 21.12 | 59 | 1 1 2 |
| 3.979 | 22.34 | 18 | 1 0 2 |
| 3.690 | 24.12 | 25 | 0 1 3 |
| 3.572 | 24.92 | 100 | 1 1 -2 |
| 3.480 | 25.59 | 43 | 1 1 3 |
| 3.250 | 27.45 | 30 | 1 0 3 |
| 3.164 | 28.20 | 20 | 1 -1 0 |
| 3.149 | 28.34 | 24 | 0 0 4 |
| 2.960 | 30.19 | 21 | -1 1 2 |
| 2.712 | 33.03 | 20 | 1 -1 2 |
| 2.584 | 34.72 | 29 | 0 2 -1 |

Atomic structure:
```
data_KCa2P4O18
_chemical_formula_sum 'K1 Ca2 P4 O18'
_symmetry_space_group_name_H-M 'P 1'
_symmetry_Int_Tables_number 1
_cell_length_a 5.643
_cell_length_b 6.149
_cell_length_c 12.872
_cell_angle_alpha 78.03
_cell_angle_beta 85.09
_cell_angle_gamma 65.51
loop_
_symmetry_equiv_pos_as_xyz
'x,y,z'
loop_
_atom_site_label
_atom_site_type_symbol
_atom_site_fract_x
_atom_site_fract_y
_atom_site_fract_z
K1 K 0.000 0.000 0.000
Ca1 Ca 0.498 0.329 0.434
Ca2 Ca 0.507 0.741 0.627
P1 P 0.006 0.827 0.431
P2 P 0.353 0.418 0.885
P3 P 0.645 0.657 0.175
P4 P 0.998 0.245 0.631
O1 O 0.028 0.007 0.712
O2 O 0.045 0.640 0.359
O3 O 0.082 0.583 0.921
O4 O 0.247 0.720 0.502
O5 O 0.254 0.182 0.568
O6 O 0.342 0.188 0.279
O7 O 0.375 0.154 0.923
O8 O 0.395 0.477 0.765
O9 O 0.424 0.633 0.122
O10 O 0.576 0.452 0.932
O11 O 0.605 0.596 0.295
O12 O 0.637 0.916 0.138
O13 O 0.657 0.886 0.783
O14 O 0.749 0.887 0.494
O15 O 0.756 0.349 0.560
O16 O 0.915 0.489 0.139
O17 O 0.957 0.433 0.702
O18 O 0.975 0.068 0.353
```

=====

5.
Simulated powder XRD pattern
Compound: PrLuIn2
Radiation: Cu Kα
Structure: the GGA-PBE geometry in the Materials Project
Neutral-atom scattering factors, no anomalous dispersion.

Principal peaks in the range 2θ = 10–90°, low angle first:
| d [Å] | 2θ/deg | Rel. int. | (hkl) |
| --- | --- | --- | --- |
| 4.387 | 20.24 | 1 | 1 1 1 |
| 3.800 | 23.41 | 3 | 2 0 0 |
| 2.687 | 33.35 | 100 | 2 2 0 |
| 2.194 | 41.15 | 1 | 2 2 2 |
| 1.900 | 47.88 | 18 | 4 0 0 |
| 1.699 | 53.96 | 1 | 4 2 0 |
| 1.551 | 59.60 | 37 | 4 2 2 |
| 1.343 | 70.04 | 11 | 4 4 0 |
| 1.267 | 74.99 | 1 | 6 0 0 |
| 1.202 | 79.83 | 16 | 6 2 0 |
| 1.097 | 89.31 | 4 | 4 4 4 |

Atomic structure:
```
data_PrLuIn2
_chemical_formula_sum 'Pr4 Lu4 In8'
_symmetry_space_group_name_H-M 'F m -3 m'
_symmetry_Int_Tables_number 225
_symmetry_space_group_name_Hall '-F 4 2 3'
_cell_length_a 7.599
_cell_length_b 7.599
_cell_length_c 7.599
_cell_angle_alpha 90.00
_cell_angle_beta 90.00
_cell_angle_gamma 90.00
loop_
_atom_site_label
_atom_site_type_symbol
_atom_site_fract_x
_atom_site_fract_y
_atom_site_fract_z
Pr1 Pr 0.000 0.000 0.000
Lu1 Lu 0.000 0.000 0.500
In1 In 0.250 0.250 0.250
```

=====

6.
Simulated powder XRD pattern
Compound: Cs2RbGaCl6
Radiation: Cu Kα
Structure: the GGA-PBE geometry in the Materials Project
Neutral-atom scattering factors, no anomalous dispersion.

Principal peaks in the range 2θ = 10–90°, low angle first:
| d [Å] | 2θ/deg | Rel. int. | (hkl) |
| --- | --- | --- | --- |
| 3.920 | 22.68 | 100 | 2 2 0 |
| 3.201 | 27.87 | 29 | 2 2 2 |
| 2.772 | 32.30 | 60 | 4 0 0 |
| 2.263 | 39.83 | 41 | 4 2 2 |
| 1.960 | 46.32 | 38 | 4 4 0 |
| 1.753 | 52.17 | 26 | 6 2 0 |
| 1.672 | 54.93 | 8 | 6 2 2 |
| 1.600 | 57.59 | 12 | 4 4 4 |
| 1.482 | 62.71 | 27 | 6 4 2 |
| 1.307 | 72.31 | 11 | 6 6 0 |
| 1.240 | 76.91 | 14 | 8 4 0 |
| 1.132 | 85.88 | 10 | 8 4 4 |

Atomic structure:
```
data_Cs2RbGaCl6
_chemical_formula_sum 'Cs8 Rb4 Ga4 Cl24'
_symmetry_space_group_name_H-M 'F m -3 m'
_symmetry_Int_Tables_number 225
_symmetry_space_group_name_Hall '-F 4 2 3'
_cell_length_a 11.088
_cell_length_b 11.088
_cell_length_c 11.088
_cell_angle_alpha 90.00
_cell_angle_beta 90.00
_cell_angle_gamma 90.00
loop_
_atom_site_label
_atom_site_type_symbol
_atom_site_fract_x
_atom_site_fract_y
_atom_site_fract_z
Cs1 Cs 0.250 0.250 0.250
Rb1 Rb 0.000 0.000 0.000
Ga1 Ga 0.000 0.000 0.500
Cl1 Cl 0.000 0.000 0.283
```

=====

7.
Simulated powder XRD pattern
Compound: Y4S3N2
Radiation: Cu Kα
Structure: the GGA-PBE geometry in the Materials Project
Neutral-atom scattering factors, no anomalous dispersion.

Principal peaks in the range 2θ = 10–90°, low angle first:
| d [Å] | 2θ/deg | Rel. int. | (hkl) |
| --- | --- | --- | --- |
| 6.474 | 13.68 | 17 | 2 0 -1 |
| 3.404 | 26.18 | 42 | 2 0 1 |
| 3.263 | 27.33 | 16 | 2 0 -3 |
| 3.023 | 29.55 | 19 | 1 1 1 |
| 2.808 | 31.87 | 100 | 3 1 -2 |
| 2.446 | 36.75 | 13 | 2 0 2 |
| 2.362 | 38.11 | 28 | 1 1 -3 |
| 2.054 | 44.09 | 16 | 6 0 -4 |
| 2.013 | 45.04 | 25 | 5 1 -1 |
| 1.923 | 47.27 | 17 | 0 2 0 |
| 1.891 | 48.13 | 13 | 1 1 -4 |
| 1.404 | 66.63 | 11 | 6 2 -4 |

Atomic structure:
```
data_Y4S3N2
_chemical_formula_sum 'Y8 S6 N4'
_symmetry_space_group_name_H-M 'C 1 2/m 1'
_symmetry_Int_Tables_number 12
_cell_length_a 12.962
_cell_length_b 3.846
_cell_length_c 9.885
_cell_angle_alpha 90.00
_cell_angle_beta 128.17
_cell_angle_gamma 90.00
loop_
_symmetry_equiv_pos_as_xyz
'x,y,z'
'-x,-y,-z'
'-x,y,-z'
'x,-y,z'
'x+1/2,y+1/2,z'
'-x+1/2,-y+1/2,-z'
'-x+1/2,y+1/2,-z'
'x+1/2,-y+1/2,z'
loop_
_atom_site_label
_atom_site_type_symbol
_atom_site_fract_x
_atom_site_fract_y
_atom_site_fract_z
Y1 Y 0.064 0.000 0.354
Y2 Y 0.239 0.500 0.851
S1 S 0.000 0.500 0.500
S2 S 0.174 0.500 0.285
N1 N 0.143 0.000 0.862
```

=====

8.
Simulated powder XRD pattern
Compound: K6Ti2O7
Radiation: Cu Kα
Structure: the GGA-PBE geometry in the Materials Project
Neutral-atom scattering factors, no anomalous dispersion.

Principal peaks in the range 2θ = 10–90°, low angle first:
| d [Å] | 2θ/deg | Rel. int. | (hkl) |
| --- | --- | --- | --- |
| 5.421 | 16.35 | 45 | 1 1 -1 |
| 3.351 | 26.60 | 34 | 0 2 2 |
| 3.130 | 28.52 | 47 | 2 1 -2 |
| 3.005 | 29.74 | 43 | 2 1 -1 |
| 2.975 | 30.04 | 80 | 0 3 1 |
| 2.962 | 30.18 | 49 | 1 2 -3 |
| 2.916 | 30.66 | 64 | 1 0 2 |
| 2.726 | 32.86 | 30 | 1 3 0 |
| 2.714 | 33.00 | 100 | 1 1 -4 |
| 2.628 | 34.12 | 56 | 2 2 -1 |
| 2.453 | 36.64 | 81 | 1 3 1 |
| 1.772 | 51.57 | 35 | 0 2 5 |

Atomic structure:
```
data_K6Ti2O7
_chemical_formula_sum 'K12 Ti4 O14'
_symmetry_space_group_name_H-M 'P 1 c 1'
_symmetry_Int_Tables_number 7
_cell_length_a 6.643
_cell_length_b 9.390
_cell_length_c 11.456
_cell_angle_alpha 90.00
_cell_angle_beta 123.37
_cell_angle_gamma 90.00
loop_
_symmetry_equiv_pos_as_xyz
'x,y,z'
'x,-y,z+1/2'
loop_
_atom_site_label
_atom_site_type_symbol
_atom_site_fract_x
_atom_site_fract_y
_atom_site_fract_z
K1 K 0.000 0.043 0.000
K2 K 0.200 0.279 0.324
K3 K 0.351 0.091 0.847
K4 K 0.465 0.405 0.715
K5 K 0.613 0.225 0.234
K6 K 0.815 0.454 0.559
Ti1 Ti 0.100 0.393 0.914
Ti2 Ti 0.718 0.105 0.647
O1 O 0.171 0.349 0.087
O2 O 0.373 0.424 0.916
O3 O 0.445 0.078 0.647
O4 O 0.645 0.157 0.475
O5 O 0.903 0.054 0.203
O6 O 0.903 0.453 0.349
O7 O 0.917 0.244 0.784
```

=====

9.
Simulated powder XRD pattern
Compound: Tl2FeCu3Te4
Radiation: Cu Kα
Structure: the GGA-PBE geometry in the Materials Project
Neutral-atom scattering factors, no anomalous dispersion.

Principal peaks in the range 2θ = 10–90°, low angle first:
| d [Å] | 2θ/deg | Rel. int. | (hkl) |
| --- | --- | --- | --- |
| 3.196 | 27.91 | 100 | 1 3 1 |
| 2.926 | 30.55 | 22 | 2 0 0 |
| 2.728 | 32.83 | 31 | 2 2 0 |
| 2.439 | 36.85 | 21 | 1 5 1 |
| 2.069 | 43.75 | 29 | 2 0 2 |
| 1.908 | 47.67 | 29 | 2 6 0 |
| 1.887 | 48.23 | 8 | 0 8 0 |
| 1.737 | 52.70 | 35 | 3 3 1 |
| 1.578 | 58.50 | 11 | 3 5 1 |
| 1.394 | 67.14 | 12 | 2 8 2 |
| 1.303 | 72.58 | 7 | 1 11 1 |
| 1.102 | 88.75 | 9 | 3 11 1 |

Atomic structure:
```
data_Tl2FeCu3Te4
_chemical_formula_sum 'Tl4 Fe2 Cu6 Te8'
_symmetry_space_group_name_H-M 'C 2 2 2'
_symmetry_Int_Tables_number 21
_cell_length_a 5.847
_cell_length_b 15.095
_cell_length_c 5.858
_cell_angle_alpha 90.00
_cell_angle_beta 90.00
_cell_angle_gamma 90.00
loop_
_symmetry_equiv_pos_as_xyz
'x,y,z'
'-x,-y,z'
'x,-y,-z'
'-x,y,-z'
'x+1/2,y+1/2,z'
'-x+1/2,-y+1/2,z'
'x+1/2,-y+1/2,-z'
'-x+1/2,y+1/2,-z'
loop_
_atom_site_label
_atom_site_type_symbol
_atom_site_fract_x
_atom_site_fract_y
_atom_site_fract_z
Tl1 Tl 0.250 0.250 0.249
Fe1 Fe 0.000 0.500 0.000
Cu1 Cu 0.000 0.000 0.000
Cu2 Cu 0.000 0.000 0.500
Cu3 Cu 0.000 0.500 0.500
Te1 Te 0.247 0.390 0.753
```

=====

10.
Simulated powder XRD pattern
Compound: Rb2LaMgNb2O8
Radiation: Cu Kα
Structure: the GGA-PBE geometry in the Materials Project
Neutral-atom scattering factors, no anomalous dispersion.

Principal peaks in the range 2θ = 10–90°, low angle first:
| d [Å] | 2θ/deg | Rel. int. | (hkl) |
| --- | --- | --- | --- |
| 8.316 | 10.64 | 42 | 0 0 2 |
| 4.158 | 21.37 | 22 | 0 0 4 |
| 3.871 | 22.98 | 25 | 1 0 1 |
| 3.590 | 24.80 | 50 | 1 0 2 |
| 3.233 | 27.59 | 99 | 1 0 3 |
| 2.875 | 31.11 | 70 | 1 0 4 |
| 2.814 | 31.80 | 100 | 1 1 0 |
| 2.552 | 35.16 | 36 | 1 0 5 |
| 1.990 | 45.58 | 55 | 2 0 0 |
| 1.975 | 45.95 | 31 | 1 1 6 |
| 1.695 | 54.11 | 29 | 2 1 3 |
| 1.636 | 56.21 | 27 | 2 1 4 |

Atomic structure:
```
data_Rb2LaMgNb2O8
_chemical_formula_sum 'Rb2 La1 Mg1 Nb2 O8'
_symmetry_space_group_name_H-M 'P 4 m m'
_symmetry_Int_Tables_number 99
_cell_length_a 3.980
_cell_length_b 3.980
_cell_length_c 16.631
_cell_angle_alpha 90.00
_cell_angle_beta 90.00
_cell_angle_gamma 90.00
loop_
_symmetry_equiv_pos_as_xyz
'x,y,z'
'-y,x,z'
'-x,-y,z'
'y,-x,z'
'-x,y,z'
'y,x,z'
'x,-y,z'
'-y,-x,z'
loop_
_atom_site_label
_atom_site_type_symbol
_atom_site_fract_x
_atom_site_fract_y
_atom_site_fract_z
Rb1 Rb 0.000 0.000 0.000
Rb2 Rb 0.000 0.000 0.195
La1 La 0.000 0.000 0.660
Mg1 Mg 0.000 0.000 0.432
Nb1 Nb 0.500 0.500 0.509
Nb2 Nb 0.500 0.500 0.785
O1 O 0.000 0.500 0.515
O2 O 0.000 0.500 0.752
O3 O 0.500 0.500 0.119
O4 O 0.500 0.500 0.395
O5 O 0.500 0.500 0.637
O6 O 0.500 0.500 0.892
```

=====

11.
Simulated powder XRD pattern
Compound: NaH6CN2ClO2
Radiation: Cu Kα
Structure: the GGA-PBE geometry in the Materials Project
Neutral-atom scattering factors, no anomalous dispersion.

Principal peaks in the range 2θ = 10–90°, low angle first:
| d [Å] | 2θ/deg | Rel. int. | (hkl) |
| --- | --- | --- | --- |
| 8.771 | 10.09 | 28 | 2 0 0 |
| 4.926 | 18.01 | 17 | 1 1 0 |
| 4.014 | 22.15 | 100 | 1 1 -1 |
| 3.650 | 24.39 | 23 | 3 1 -1 |
| 3.220 | 27.71 | 25 | 2 0 -2 |
| 2.968 | 30.11 | 41 | 3 1 1 |
| 2.954 | 30.25 | 61 | 5 1 -1 |
| 2.693 | 33.27 | 25 | 3 1 -2 |
| 2.478 | 36.26 | 24 | 1 1 2 |
| 2.365 | 38.05 | 22 | 0 2 1 |
| 2.215 | 40.74 | 24 | 4 2 0 |
| 2.007 | 45.18 | 28 | 2 2 -2 |

Atomic structure:
```
data_NaH6CN2ClO2
_chemical_formula_sum 'Na4 H24 C4 N8 Cl4 O8'
_symmetry_space_group_name_H-M 'C 1 2 1'
_symmetry_Int_Tables_number 5
_cell_length_a 18.642
_cell_length_b 5.133
_cell_length_c 6.440
_cell_angle_alpha 90.00
_cell_angle_beta 109.79
_cell_angle_gamma 90.00
loop_
_symmetry_equiv_pos_as_xyz
'x,y,z'
'-x,y,-z'
'x+1/2,y+1/2,z'
'-x+1/2,y+1/2,-z'
loop_
_atom_site_label
_atom_site_type_symbol
_atom_site_fract_x
_atom_site_fract_y
_atom_site_fract_z
Na1 Na 0.002 0.000 0.240
H1 H 0.043 0.525 0.041
H2 H 0.044 0.437 0.551
H3 H 0.166 0.500 0.401
H4 H 0.180 0.955 0.951
H5 H 0.236 0.565 0.844
H6 H 0.245 0.904 0.607
C1 C 0.162 0.220 0.167
N1 N 0.198 0.383 0.336
N2 N 0.206 0.060 0.092
Cl1 Cl 0.118 0.771 0.613
O1 O 0.000 0.317 0.500
O2 O 0.000 0.650 0.000
O3 O 0.090 0.214 0.082
```